(1)
Nb2ReRu: calculated powder diffraction line list (Cu Kα (weighted mean of Kα1 and Kα2)), based on a structure optimized by DFT (GGA-PBE).
Lines closer than 0.1° are merged.

Cell and atoms:
```
data_Nb2ReRu
_space_group_name_H-M_alt 'F m -3 m'
_space_group_IT_number 225
_space_group_name_Hall '-F 4 2 3'
_cell_length_a 6.4089
_cell_length_b 6.4089
_cell_length_c 6.4089
_cell_angle_alpha 90.00
_cell_angle_beta 90.00
_cell_angle_gamma 90.00
loop_
_atom_site_label
_atom_site_type_symbol
_atom_site_fract_x
_atom_site_fract_y
_atom_site_fract_z
_atom_site_occupancy
Nb1 Nb 0.2500 0.2500 0.2500 1
Re1 Re 0.0000 0.0000 0.0000 1
Ru1 Ru 0.0000 0.0000 0.5000 1
```

Most intense lines, 10° ≤ 2θ ≤ 80°, low angle first:
2θ (°)	intensity
24.1	6.7
27.8	5.0
39.8	100.0
47.0	3.7
49.3	1.5
57.5	16.8
63.2	1.6
65.1	2.1
72.2	33.8
77.4	1.2

---

(2)
TaNbRe2: calculated powder diffraction line list (Cu Kα (weighted mean of Kα1 and Kα2)), based on a structure optimized by DFT (GGA-PBE).
Lines closer than 0.1° are merged.

Cell and atoms:
```
data_TaNbRe2
_space_group_name_H-M_alt 'F m -3 m'
_space_group_IT_number 225
_space_group_name_Hall '-F 4 2 3'
_cell_length_a 6.4210
_cell_length_b 6.4210
_cell_length_c 6.4210
_cell_angle_alpha 90.00
_cell_angle_beta 90.00
_cell_angle_gamma 90.00
loop_
_atom_site_label
_atom_site_type_symbol
_atom_site_fract_x
_atom_site_fract_y
_atom_site_fract_z
_atom_site_occupancy
Ta1 Ta 0.0000 0.0000 0.0000 1
Nb1 Nb 0.0000 0.0000 0.5000 1
Re1 Re 0.2500 0.2500 0.2500 1
```

Most intense lines, 10° ≤ 2θ ≤ 80°, low angle first:
2θ (°)	intensity
24.0	3.9
27.8	2.6
39.7	100.0
46.9	2.2
49.2	0.8
57.4	17.2
63.1	0.9
65.0	1.1
72.1	34.9
77.2	0.7

---

(3)
Ta2NbRe: calculated powder diffraction line list (Cu Kα (weighted mean of Kα1 and Kα2)), based on a structure optimized by DFT (GGA-PBE).
Lines closer than 0.1° are merged.

Cell and atoms:
```
data_Ta2NbRe
_space_group_name_H-M_alt 'F m -3 m'
_space_group_IT_number 225
_space_group_name_Hall '-F 4 2 3'
_cell_length_a 6.5043
_cell_length_b 6.5043
_cell_length_c 6.5043
_cell_angle_alpha 90.00
_cell_angle_beta 90.00
_cell_angle_gamma 90.00
loop_
_atom_site_label
_atom_site_type_symbol
_atom_site_fract_x
_atom_site_fract_y
_atom_site_fract_z
_atom_site_occupancy
Ta1 Ta 0.2500 0.2500 0.2500 1
Nb1 Nb 0.0000 0.0000 0.0000 1
Re1 Re 0.0000 0.0000 0.5000 1
```

Most intense lines, 10° ≤ 2θ ≤ 80°, low angle first:
2θ (°)	intensity
23.7	4.5
27.4	1.8
39.2	100.0
46.3	2.5
48.5	0.6
56.6	17.2
62.2	1.1
64.0	0.8
71.0	35.1
76.0	0.8

---

(4)
NbVRe: calculated powder diffraction line list (Cu Kα (weighted mean of Kα1 and Kα2)), based on a structure optimized by DFT (GGA-PBE).
Lines closer than 0.1° are merged.

Cell and atoms:
```
data_NbVRe
_space_group_name_H-M_alt 'F m m 2'
_space_group_IT_number 42
_space_group_name_Hall 'F 2 -2'
_cell_length_a 3.1331
_cell_length_b 4.5353
_cell_length_c 13.1528
_cell_angle_alpha 90.00
_cell_angle_beta 90.00
_cell_angle_gamma 90.00
loop_
_atom_site_label
_atom_site_type_symbol
_atom_site_fract_x
_atom_site_fract_y
_atom_site_fract_z
_atom_site_occupancy
Nb1 Nb 0.0000 0.0000 0.0000 1
V1 V 0.0000 0.0000 0.3283 1
Re1 Re 0.0000 0.0000 0.6748 1
```

Most intense lines, 10° ≤ 2θ ≤ 80°, low angle first:
2θ (°)	intensity
13.5	42.0
27.1	11.2
35.5	19.4
39.7	26.8
40.6	100.0
41.2	23.3
58.6	16.3
72.7	17.4
73.5	8.5
74.7	15.0